The following is a calculated X-ray powder pattern of Ba6Mn5O16. It was derived from a crystal structure in the Materials Project, relaxed with PBE+U, using copper Kα.

Largest 8 diffraction maxima, low angle first, 15° ≤ 2θ ≤ 90°:
d_spacing  2θ (°)  I (rel.)
3.701  24.04  28
3.437  25.93  29
3.330  26.77  40
3.135  28.47  33
2.905  30.78  100
2.217  40.70  31
2.187  41.29  31
2.167  41.69  22

Atomic structure:
Cell lengths 5.8015, 13.2986, 20.6207 Å; angles 90.00, 90.00, 90.00 degrees
Space group Cmce (No. 64)
One atom of each set of equivalent atoms:
Ba (0.0000, 0.0872, 0.1786) (multiplicity 8)
Ba (0.0000, 0.1207, 0.6642) (multiplicity 8)
Ba (0.0000, 0.1443, 0.9775) (multiplicity 8)
Mn (0.0000, 0.0000, 0.5000) (multiplicity 4)
Mn (0.0000, 0.1229, 0.4064) (multiplicity 8)
Mn (0.0000, 0.2496, 0.3109) (multiplicity 8)
O (0.0000, 0.0896, 0.3163) (multiplicity 8)
O (0.0000, 0.1124, 0.8135) (multiplicity 8)
O (0.0000, 0.1467, 0.5003) (multiplicity 8)
O (0.2165, 0.2271, 0.3839) (multiplicity 16)
O (0.2231, 0.0187, 0.4312) (multiplicity 16)
O (0.2500, 0.2383, 0.2500) (multiplicity 8)